Entry 1:
Theoretical powder diffraction line list of Tb3TmIr4 for Cu Ka, from a PBE-relaxed structure.
Kinematic intensities with the Lorentz-polarization factor, no thermal factor.

Largest 7 diffraction maxima, sorted by position, 2θ from 5° to 70°:
2θ (°)	d/Å	I (rel.)	index
25.57	3.483	1	0 1 2
36.48	2.463	54	0 2 0
37.44	2.402	100	1 1 2
52.54	1.742	19	0 2 4
55.40	1.658	8	2 0 0
66.29	1.410	38	1 3 2
68.17	1.376	18	2 2 0

Atomic structure:
Unit cell a=3.3169 b=4.9256 c=9.8542 alpha=90.00 beta=90.00 gamma=90.00
Fractional coordinates of all 8 atoms:
Tb  0.0000  0.0000  0.0000
Tb  0.0000  0.5000  0.2516
Tb  0.0000  0.5000  0.7484
Tm  0.0000  0.0000  0.5000
Ir  0.5000  0.0000  0.2540
Ir  0.5000  0.0000  0.7460
Ir  0.5000  0.5000  0.0000
Ir  0.5000  0.5000  0.5000


Entry 2:
Theoretical powder diffraction line list of La2TmTl for Cu Ka, from a PBE-relaxed structure.
Kinematic intensities with the Lorentz-polarization factor, no thermal factor.

Largest 10 diffraction maxima, sorted by position, 2θ from 5° to 70°:
2θ (°)	d/Å	I (rel.)	index
17.24	5.143	2	0 0 1
25.68	3.469	2	1 1 0
31.10	2.876	100	1 1 1
34.89	2.572	18	0 0 2
36.64	2.453	32	2 0 0
51.49	1.775	25	2 0 2
52.79	1.734	11	2 2 0
60.21	1.537	15	1 1 3
62.54	1.485	27	3 1 1
64.85	1.438	12	2 2 2

Atomic structure:
Unit cell a=4.9053 b=4.9053 c=5.1433 alpha=90.00 beta=90.00 gamma=90.00
Fractional coordinates of all 4 atoms:
La  0.0000  0.5000  0.0000
La  0.5000  0.0000  0.0000
Tm  0.0000  0.0000  0.5000
Tl  0.5000  0.5000  0.5000


Entry 3:
Theoretical powder diffraction line list of NdSi2Au6 for Cu Ka, from a PBE-relaxed structure.
Kinematic intensities with the Lorentz-polarization factor, no thermal factor.

Largest 10 diffraction maxima, sorted by position, 2θ from 5° to 70°:
2θ (°)	d/Å	I (rel.)	index
10.08	8.775	27	0 0 1
20.22	4.391	4	0 0 2
28.71	3.109	4	1 1 0
35.36	2.538	100	1 1 2
41.02	2.200	39	2 0 0
41.15	2.194	13	0 0 4
42.40	2.132	19	1 1 3
52.11	1.755	3	0 0 5
59.46	1.555	31	2 2 0
68.37	1.372	6	2 0 5

Atomic structure:
Unit cell a=4.4010 b=4.4010 c=8.7754 alpha=90.00 beta=90.00 gamma=90.00
Fractional coordinates of all 9 atoms:
Nd  0.0000  0.0000  0.0000
Si  0.5000  0.5000  0.1345
Si  0.5000  0.5000  0.8655
Au  0.0000  0.0000  0.5000
Au  0.0000  0.5000  0.2732
Au  0.0000  0.5000  0.7268
Au  0.5000  0.0000  0.2732
Au  0.5000  0.0000  0.7268
Au  0.5000  0.5000  0.5000


Entry 4:
Theoretical powder diffraction line list of TmMgCl6 for Cu Ka, from a PBE-relaxed structure.
Kinematic intensities with the Lorentz-polarization factor, no thermal factor.

Largest 10 diffraction maxima, sorted by position, 2θ from 5° to 70°:
2θ (°)	d/Å	I (rel.)	index
15.24	5.813	29	0 0 1
16.16	5.485	26	1 0 0
16.80	5.276	26	1 1 1
18.37	4.830	100	0 1 1
19.53	4.546	34	1 0 1
30.48	2.933	36	-1 1 1
31.40	2.849	32	1 2 0
32.69	2.739	43	2 1 2
40.07	2.250	26	2 1 -1
48.63	1.872	32	3 0 1

Atomic structure:
Unit cell a=6.4916 b=6.5159 c=6.7869 alpha=61.66 beta=65.71 gamma=60.26
Fractional coordinates of all 8 atoms:
Tm  0.0000  0.0000  0.0000
Mg  0.5000  0.5000  0.5000
Cl  0.1152  0.3944  0.7126
Cl  0.2602  0.9118  0.2562
Cl  0.3883  0.7165  0.7787
Cl  0.6117  0.2835  0.2213
Cl  0.7398  0.0882  0.7438
Cl  0.8848  0.6056  0.2874


Entry 5:
Theoretical powder diffraction line list of InNiAgCl6 for Cu Ka, from a PBE-relaxed structure.
Kinematic intensities with the Lorentz-polarization factor, no thermal factor.

Largest 10 diffraction maxima, sorted by position, 2θ from 5° to 70°:
2θ (°)	d/Å	I (rel.)	index
20.60	4.311	100	1 1 0
27.65	3.226	47	1 0 3
31.37	2.852	26	1 1 3
40.72	2.216	78	2 1 3
41.91	2.156	27	2 2 0
47.14	1.928	12	3 1 0
47.84	1.901	12	0 0 6
50.95	1.792	34	3 0 3
52.61	1.740	15	1 1 6
65.46	1.426	12	2 2 6

Atomic structure:
Unit cell a=6.0969 b=6.0969 c=11.4071 alpha=90.00 beta=90.00 gamma=90.00
Fractional coordinates of all 18 atoms:
In  0.0000  0.0000  0.0000
In  0.5000  0.5000  0.5000
Ni  0.0000  0.0000  0.3344
Ni  0.5000  0.5000  0.8344
Ag  0.0000  0.0000  0.6698
Ag  0.5000  0.5000  0.1698
Cl  0.1829  0.1829  0.1782
Cl  0.1965  0.1965  0.4879
Cl  0.2116  0.2116  0.8418
Cl  0.2884  0.7116  0.3418
Cl  0.3035  0.6965  0.9879
Cl  0.3171  0.6829  0.6782
Cl  0.6829  0.3171  0.6782
Cl  0.6965  0.3035  0.9879
Cl  0.7116  0.2884  0.3418
Cl  0.7884  0.7884  0.8418
Cl  0.8035  0.8035  0.4879
Cl  0.8171  0.8171  0.1782